No. 1
Diffraction record for CaMnTl2F6. The X-ray powder pattern is theoretical, not measured: it uses a crystal structure in Alexandria, relaxed with GGA+U and copper Kα.
Kinematic intensities with the Lorentz-polarization factor, no thermal factor.

Peak list (12 most intense, 2θ from 5° to 70°, sorted by position)
20.15°, d 4.408, rel. 35
28.64°, d 3.117, rel. 100
35.27°, d 2.545, rel. 32
40.91°, d 2.206, rel. 23
41.03°, d 2.200, rel. 11
46.02°, d 1.972, rel. 13
46.11°, d 1.969, rel. 6
50.74°, d 1.799, rel. 42
59.30°, d 1.558, rel. 22
63.29°, d 1.469, rel. 9
67.10°, d 1.395, rel. 12
67.28°, d 1.392, rel. 6

Cell and atoms:
Lattice parameters (Å, degrees): 6.230 6.230 6.230 119.91 119.91 90.15
Element x y z (fractional)
Ca  0.000  0.000  0.000
Mn  0.500  0.500  0.000
Tl  0.250  0.750  0.500
Tl  0.750  0.250  0.500
F  0.256  0.256  0.512
F  0.256  0.744  0.000
F  0.257  0.257  0.000
F  0.743  0.743  0.000
F  0.744  0.256  0.000
F  0.744  0.744  0.488

No. 2
Diffraction record for CaMnZn2F8. The X-ray powder pattern is theoretical, not measured: it uses a crystal structure in Alexandria, relaxed with GGA+U and copper Kα.
Kinematic intensities with the Lorentz-polarization factor, no thermal factor.

Peak list (12 most intense, 2θ from 5° to 70°, sorted by position)
18.68°, d 4.750, rel. 5
28.95°, d 3.084, rel. 100
29.67°, d 3.011, rel. 5
32.52°, d 2.753, rel. 7
34.05°, d 2.633, rel. 7
39.12°, d 2.303, rel. 7
40.76°, d 2.214, rel. 9
47.80°, d 1.903, rel. 41
48.93°, d 1.862, rel. 22
55.85°, d 1.646, rel. 15
57.85°, d 1.594, rel. 28
59.99°, d 1.542, rel. 7

Cell and atoms:
Lattice parameters (Å, degrees): 6.647 6.647 6.647 133.33 133.33 68.14
Element x y z (fractional)
Ca  0.000  0.000  0.000
Mn  0.750  0.250  0.500
Zn  0.250  0.750  0.500
Zn  0.500  0.500  0.000
F  0.069  0.644  0.042
F  0.144  0.230  0.556
F  0.356  0.399  0.426
F  0.411  0.856  0.085
F  0.601  0.027  0.958
F  0.674  0.589  0.444
F  0.770  0.326  0.915
F  0.973  0.931  0.574